1.
For Dy2YEr4Fe2Te2, a crystal structure in OQMD, relaxed with PBE gives the simulated XRD peak list in this record (a wavelength of 1.5418 Å).

Crystal structure
Cell lengths 3.8530, 15.6493, 9.3255 Å; angles 90.00, 90.00, 90.00 degrees
Space group Imm2 (No. 44)
Asymmetric unit:
Dy 0.0000 0.1355 0.0000
Y 0.0000 0.0000 0.5823
Er 0.0000 0.3130 0.2071
Er 0.0000 0.3497 0.8490
Fe 0.0000 0.2368 0.5127
Te 0.0000 0.0000 0.2479
Te 0.0000 0.5000 0.3467

The 10 most intense peaks (2θ = 15–90°), low angle first:
| d (Å) | 2θ/deg | I (rel.) | (hkl) |
| --- | --- | --- | --- |
| 3.561 | 25.01 | 26.0 | 1 0 1 |
| 2.918 | 30.64 | 45.0 | 1 1 2 |
| 2.670 | 33.56 | 83.4 | 0 3 3 |
| 2.633 | 34.04 | 100.0 | 1 4 1 |
| 2.608 | 34.38 | 27.1 | 0 6 0 |
| 2.581 | 34.76 | 68.0 | 1 3 2 |
| 2.419 | 37.16 | 20.1 | 1 0 3 |
| 2.311 | 38.97 | 21.0 | 1 2 3 |
| 1.926 | 47.18 | 30.7 | 2 0 0 |
| 1.562 | 59.13 | 33.0 | 2 3 3 |



2.
For Cu3AsSe3S, a crystal structure in OQMD, relaxed with PBE gives the simulated XRD peak list in this record (a wavelength of 1.5418 Å).

Crystal structure
Cell lengths 7.8219, 7.8500, 6.7357 Å; angles 90.00, 125.27, 90.00 degrees
Space group Cm (No. 8)
Asymmetric unit:
Cu 0.0000 0.0000 0.0000
Cu 0.0209 0.2614 0.5211
As 0.0220 0.5000 0.0043
Se 0.1323 0.0000 0.7490
Se 0.1444 0.2443 0.2678
S 0.1421 0.5000 0.7533

The 10 most intense peaks (2θ = 15–90°), low angle first:
| d (Å) | 2θ/deg | I (rel.) | (hkl) |
| --- | --- | --- | --- |
| 3.194 | 27.93 | 100.0 | 2 0 0 |
| 3.181 | 28.05 | 33.3 | 2 0 -2 |
| 1.962 | 46.26 | 15.8 | 0 4 0 |
| 1.955 | 46.46 | 47.1 | 4 0 -2 |
| 1.949 | 46.60 | 31.1 | 2 2 -3 |
| 1.671 | 54.96 | 27.7 | 2 4 0 |
| 1.661 | 55.30 | 13.6 | 0 2 3 |
| 1.385 | 67.63 | 9.5 | 4 4 -2 |
| 1.131 | 85.95 | 9.6 | 2 6 -3 |
| 1.126 | 86.38 | 12.0 | 6 2 -5 |



3.
For NpTcSn, a crystal structure in OQMD, relaxed with PBE gives the simulated XRD peak list in this record (a wavelength of 1.5418 Å).

Crystal structure
Cell lengths 6.5997, 6.5997, 6.5997 Å; angles 90.00, 90.00, 90.00 degrees
Space group F-43m (No. 216)
Asymmetric unit:
Np 0.0000 0.0000 0.0000
Tc 0.0000 0.0000 0.5000
Sn 0.2500 0.2500 0.2500

The 10 most intense peaks (2θ = 15–90°), low angle first:
| d (Å) | 2θ/deg | I (rel.) | (hkl) |
| --- | --- | --- | --- |
| 3.810 | 23.35 | 36.3 | 1 1 1 |
| 3.300 | 27.02 | 27.3 | 2 0 0 |
| 2.333 | 38.59 | 100.0 | 2 2 0 |
| 1.990 | 45.59 | 19.8 | 3 1 1 |
| 1.905 | 47.74 | 7.8 | 2 2 2 |
| 1.650 | 55.71 | 17.5 | 4 0 0 |
| 1.514 | 61.22 | 8.6 | 3 3 1 |
| 1.476 | 62.99 | 10.2 | 4 2 0 |
| 1.347 | 69.82 | 36.0 | 4 2 2 |
| 1.167 | 82.72 | 11.6 | 4 4 0 |